This entry pairs a crystal structure of Tl3S2 with its calculated powder diffractogram. Radiation: Cu Ka. Structure: the PBE geometry in Alexandria.

Most intense lines, 10° ≤ 2θ ≤ 90°, low angle first:
16.26 deg, I 11, (0 1 2); 23.03 deg, I 13, (1 1 0); 27.12 deg, I 100, (1 1 3); 28.48 deg, I 21, (0 0 6); 35.83 deg, I 15, (2 1 1); 36.93 deg, I 17, (1 1 6); 40.46 deg, I 24, (3 0 0); 49.38 deg, I 11, (2 2 3); 49.58 deg, I 26, (1 1 9); 50.19 deg, I 19, (3 0 6); 55.87 deg, I 11, (0 4 2); 65.69 deg, I 9, (2 3 5)

Cell and atoms:
```
data_Tl3S2
_space_group_name_H-M_alt 'R -3 c'
_space_group_IT_number 167
_space_group_name_Hall '-R 3 2"c'
_cell_length_a 7.7246
_cell_length_b 7.7246
_cell_length_c 18.8064
_cell_angle_alpha 90.00
_cell_angle_beta 90.00
_cell_angle_gamma 120.00
loop_
_atom_site_label
_atom_site_fract_x
_atom_site_fract_y
_atom_site_fract_z
Tl1 0.0000 0.2859 0.2500
S1 0.0000 0.0000 0.1363
```